(1)
Diffraction record for U6Co. The powder diffraction line list is computed, not measured: it uses a structure optimized by DFT (GGA-PBE) and Cu Kα.

Peak list (12 most intense, 10 to 80 degrees two-theta, by angle)
2θ (°), I/Imax
34.66, 27
36.19, 100
39.51, 6
40.41, 5
45.34, 13
53.94, 7
57.80, 7
58.30, 8
63.11, 21
64.62, 8
65.72, 10
75.45, 12

Crystal structure
a b c (Å): 10.199 10.199 5.176
angles (deg): 90.00 90.00 90.00
Space group I4/mcm (No. 140)
One atom of each set of equivalent atoms:
U  0.095  0.405  0.000 [8 per cell]
U  0.104  0.217  0.500 [16 per cell]
Co  0.000  0.000  0.250 [4 per cell]

=====

(2)
Diffraction record for Y5UCo4. The powder diffraction line list is computed, not measured: it uses a structure optimized by DFT (GGA-PBE) and Cu Kα.

Peak list (12 most intense, 10 to 80 degrees two-theta, by angle)
2θ (°), I/Imax
11.28, 40
14.07, 53
27.32, 15
27.57, 41
34.27, 100
35.13, 18
37.21, 17
38.39, 19
43.68, 38
43.95, 23
56.91, 16
57.44, 18

Crystal structure
a b c (Å): 16.889 4.120 7.031
angles (deg): 90.00 111.79 90.00
Space group C2/m (No. 12)
One atom of each set of equivalent atoms:
Y  0.000  0.000  0.000 [2 per cell]
Y  0.163  0.500  0.545 [4 per cell]
Y  0.178  0.500  0.058 [4 per cell]
U  0.000  0.000  0.500 [2 per cell]
Co  0.017  0.500  0.706 [4 per cell]
Co  0.132  0.000  0.778 [4 per cell]